(1)
Computed XRD peak list of LiZnBO3 for Cu Kα, 1.54184 Å, from a GGA-PBE-relaxed structure.

Structure:
Unit cell a=5.019 b=5.021 c=11.867 alpha=89.30 beta=89.08 gamma=60.52
Atoms (fractional coordinates):
Li  0.000  0.000  0.000
Li  0.011  0.996  0.811
Li  0.219  0.029  0.579
Li  0.245  0.027  0.225
Zn  0.329  0.328  0.945
Zn  0.569  0.336  0.613
Zn  0.642  0.675  0.415
Zn  0.939  0.674  0.193
B  0.291  0.344  0.398
B  0.595  0.351  0.158
B  0.664  0.664  0.914
B  0.910  0.678  0.638
O  0.035  0.612  0.360
O  0.166  0.397  0.651
O  0.285  0.073  0.393
O  0.329  0.341  0.128
O  0.373  0.924  0.912
O  0.541  0.351  0.441
O  0.576  0.625  0.187
O  0.637  0.697  0.603
O  0.693  0.373  0.909
O  0.875  0.083  0.154
O  0.921  0.946  0.658
O  0.925  0.695  0.920

Top 12 peaks for 2θ from 10° to 80°, in order of rising 2θ:
20.32 deg, I 63
21.61 deg, I 77
21.71 deg, I 64
22.48 deg, I 23
25.23 deg, I 49
25.44 deg, I 46
30.13 deg, I 100
30.37 deg, I 27
35.49 deg, I 36
35.77 deg, I 47
39.19 deg, I 26
42.12 deg, I 27

(2)
Computed XRD peak list of LiZnBO3 for Cu Kα, 1.54184 Å, from a GGA-PBE-relaxed structure.

Structure:
Unit cell a=5.128 b=5.128 c=6.184 alpha=114.31 beta=114.31 gamma=59.79
Atoms (fractional coordinates):
Li  0.088  0.912  0.500
Li  0.912  0.088  0.000
Zn  0.247  0.421  0.001
Zn  0.421  0.247  0.501
B  0.552  0.732  0.916
B  0.732  0.552  0.416
O  0.272  0.994  0.896
O  0.444  0.539  0.376
O  0.539  0.444  0.876
O  0.742  0.828  0.454
O  0.828  0.742  0.954
O  0.994  0.272  0.396

Top 12 peaks for 2θ from 10° to 80°, in order of rising 2θ:
20.76 deg, I 100
22.73 deg, I 42
22.86 deg, I 20
29.77 deg, I 74
32.92 deg, I 67
35.00 deg, I 39
35.11 deg, I 18
38.92 deg, I 32
41.13 deg, I 25
42.21 deg, I 23
55.00 deg, I 19
62.65 deg, I 18

(3)
Computed XRD peak list of LiZnBO3 for Cu Kα, 1.54184 Å, from a GGA-PBE-relaxed structure.

Structure:
Unit cell a=5.105 b=5.105 c=11.271 alpha=90.86 beta=90.86 gamma=120.46
Atoms (fractional coordinates):
Li  0.161  0.181  0.168
Li  0.181  0.161  0.668
Li  0.819  0.839  0.332
Li  0.839  0.819  0.832
Zn  0.194  0.510  0.901
Zn  0.490  0.806  0.599
Zn  0.510  0.194  0.401
Zn  0.806  0.490  0.099
B  0.172  0.513  0.374
B  0.487  0.828  0.126
B  0.513  0.172  0.874
B  0.828  0.487  0.626
O  0.088  0.474  0.639
O  0.175  0.247  0.349
O  0.225  0.552  0.091
O  0.247  0.175  0.849
O  0.448  0.775  0.409
O  0.474  0.088  0.139
O  0.526  0.912  0.861
O  0.552  0.225  0.591
O  0.753  0.825  0.151
O  0.775  0.448  0.909
O  0.825  0.753  0.651
O  0.912  0.526  0.361

Top 12 peaks for 2θ from 10° to 80°, in order of rising 2θ:
20.04 deg, I 29
20.19 deg, I 35
21.53 deg, I 35
21.88 deg, I 75
25.36 deg, I 58
31.22 deg, I 33
31.77 deg, I 100
35.16 deg, I 52
38.51 deg, I 29
41.60 deg, I 47
48.50 deg, I 43
55.57 deg, I 26

(4)
Computed XRD peak list of LiBPPd2 for Cu Kα, 1.54184 Å, from a GGA-PBE-relaxed structure.

Structure:
Unit cell a=4.246 b=4.246 c=3.959 alpha=90.00 beta=90.00 gamma=90.00
Atoms (fractional coordinates):
Li  0.000  0.000  0.000
B  0.500  0.500  0.500
P  0.000  0.000  0.500
Pd  0.000  0.500  0.000
Pd  0.500  0.000  0.000

Top 12 peaks for 2θ from 10° to 80°, in order of rising 2θ:
22.45 deg, I 50
29.76 deg, I 45
37.60 deg, I 100
42.58 deg, I 38
45.84 deg, I 15
48.66 deg, I 26
55.61 deg, I 16
61.80 deg, I 12
64.34 deg, I 21
66.62 deg, I 10
74.64 deg, I 25
79.29 deg, I 11

(5)
Computed XRD peak list of LiPaB12 for Cu Kα, 1.54184 Å, from a GGA-PBE-relaxed structure.

Structure:
Unit cell a=4.093 b=4.093 c=8.235 alpha=90.00 beta=90.00 gamma=90.00
Atoms (fractional coordinates):
Li  0.000  0.000  0.000
Pa  0.000  0.000  0.500
B  0.199  0.500  0.252
B  0.199  0.500  0.748
B  0.500  0.199  0.252
B  0.500  0.199  0.748
B  0.500  0.500  0.101
B  0.500  0.500  0.402
B  0.500  0.500  0.598
B  0.500  0.500  0.899
B  0.500  0.801  0.252
B  0.500  0.801  0.748
B  0.801  0.500  0.252
B  0.801  0.500  0.748

Top 12 peaks for 2θ from 10° to 80°, in order of rising 2θ:
10.74 deg, I 100
21.71 deg, I 23
24.28 deg, I 64
30.83 deg, I 66
32.80 deg, I 31
38.00 deg, I 29
39.53 deg, I 19
45.54 deg, I 13
45.68 deg, I 13
49.78 deg, I 22
51.11 deg, I 18
68.60 deg, I 12

(6)
Computed XRD peak list of Li2BPd2 for Cu Kα, 1.54184 Å, from a GGA-PBE-relaxed structure.

Structure:
Unit cell a=5.613 b=5.613 c=4.370 alpha=90.00 beta=90.00 gamma=90.00
Atoms (fractional coordinates):
Li  0.165  0.335  0.000
Li  0.335  0.835  0.000
Li  0.665  0.165  0.000
Li  0.835  0.665  0.000
B  0.000  0.000  0.500
B  0.500  0.500  0.500
Pd  0.167  0.667  0.500
Pd  0.333  0.167  0.500
Pd  0.667  0.833  0.500
Pd  0.833  0.333  0.500

Top 12 peaks for 2θ from 10° to 80°, in order of rising 2θ:
20.32 deg, I 100
31.89 deg, I 15
35.77 deg, I 48
38.11 deg, I 16
41.32 deg, I 18
41.48 deg, I 76
51.48 deg, I 10
55.78 deg, I 26
55.91 deg, I 13
72.75 deg, I 14
75.00 deg, I 9
75.45 deg, I 13

(7)
Computed XRD peak list of Li5BPd5 for Cu Kα, 1.54184 Å, from a GGA-PBE-relaxed structure.

Structure:
Unit cell a=5.060 b=5.060 c=8.156 alpha=97.44 beta=97.44 gamma=50.43
Atoms (fractional coordinates):
Li  0.000  0.000  0.000
Li  0.291  0.291  0.103
Li  0.415  0.415  0.775
Li  0.585  0.585  0.225
Li  0.709  0.709  0.897
B  0.000  0.000  0.500
Pd  0.128  0.128  0.735
Pd  0.190  0.190  0.388
Pd  0.500  0.500  0.500
Pd  0.810  0.810  0.612
Pd  0.872  0.872  0.265

Top 12 peaks for 2θ from 10° to 80°, in order of rising 2θ:
10.96 deg, I 100
22.84 deg, I 7
30.92 deg, I 30
36.32 deg, I 28
39.33 deg, I 26
39.52 deg, I 30
41.41 deg, I 12
41.92 deg, I 17
42.90 deg, I 13
43.45 deg, I 7
60.38 deg, I 8
61.53 deg, I 9

(8)
Computed XRD peak list of LiB4Pd12 for Cu Kα, 1.54184 Å, from a GGA-PBE-relaxed structure.

Structure:
Unit cell a=6.765 b=6.765 c=6.765 alpha=109.47 beta=109.47 gamma=109.47
Atoms (fractional coordinates):
Li  0.000  0.000  0.000
B  0.000  0.000  0.500
B  0.000  0.500  0.000
B  0.500  0.000  0.000
B  0.500  0.500  0.500
Pd  0.142  0.317  0.825
Pd  0.175  0.492  0.317
Pd  0.175  0.858  0.683
Pd  0.317  0.175  0.492
Pd  0.317  0.825  0.142
Pd  0.492  0.317  0.175
Pd  0.508  0.683  0.825
Pd  0.683  0.175  0.858
Pd  0.683  0.825  0.508
Pd  0.825  0.142  0.317
Pd  0.825  0.508  0.683
Pd  0.858  0.683  0.175

Top 12 peaks for 2θ from 10° to 80°, in order of rising 2θ:
32.42 deg, I 20
36.37 deg, I 100
39.98 deg, I 15
43.34 deg, I 58
49.50 deg, I 9
52.38 deg, I 10
55.15 deg, I 10
57.82 deg, I 7
60.42 deg, I 7
70.26 deg, I 34
72.61 deg, I 11
74.94 deg, I 19

(9)
Computed XRD peak list of LiBPd5 for Cu Kα, 1.54184 Å, from a GGA-PBE-relaxed structure.

Structure:
Unit cell a=3.818 b=3.818 c=6.727 alpha=90.00 beta=90.00 gamma=90.00
Atoms (fractional coordinates):
Li  0.000  0.000  0.000
B  0.500  0.500  0.500
Pd  0.000  0.500  0.304
Pd  0.000  0.500  0.696
Pd  0.500  0.000  0.304
Pd  0.500  0.000  0.696
Pd  0.500  0.500  0.000

Top 12 peaks for 2θ from 10° to 80°, in order of rising 2θ:
23.30 deg, I 16
26.50 deg, I 21
26.85 deg, I 15
33.19 deg, I 48
35.84 deg, I 50
40.22 deg, I 32
42.96 deg, I 100
47.64 deg, I 54
53.10 deg, I 17
64.06 deg, I 32
69.66 deg, I 17
79.62 deg, I 22

(10)
Computed XRD peak list of LiPmB4 for Cu Kα, 1.54184 Å, from a GGA-PBE-relaxed structure.

Structure:
Unit cell a=5.904 b=11.655 c=3.766 alpha=90.00 beta=90.00 gamma=90.00
Atoms (fractional coordinates):
Li  0.128  0.085  0.000
Li  0.372  0.585  0.000
Li  0.628  0.415  0.000
Li  0.872  0.915  0.000
Pm  0.124  0.349  0.000
Pm  0.376  0.849  0.000
Pm  0.624  0.151  0.000
Pm  0.876  0.651  0.000
B  0.029  0.807  0.500
B  0.109  0.951  0.500
B  0.139  0.533  0.500
B  0.215  0.686  0.500
B  0.285  0.186  0.500
B  0.361  0.033  0.500
B  0.391  0.451  0.500
B  0.471  0.307  0.500
B  0.529  0.693  0.500
B  0.609  0.549  0.500
B  0.639  0.967  0.500
B  0.715  0.814  0.500
B  0.785  0.314  0.500
B  0.861  0.467  0.500
B  0.891  0.049  0.500
B  0.971  0.193  0.500

Top 12 peaks for 2θ from 10° to 80°, in order of rising 2θ:
16.83 deg, I 64
21.43 deg, I 100
23.63 deg, I 65
27.48 deg, I 60
29.15 deg, I 44
31.26 deg, I 61
32.10 deg, I 89
36.55 deg, I 72
39.09 deg, I 44
39.55 deg, I 90
49.85 deg, I 32
55.87 deg, I 34

(11)
Computed XRD peak list of LiPm2B2Rh5 for Cu Kα, 1.54184 Å, from a GGA-PBE-relaxed structure.

Structure:
Unit cell a=9.660 b=9.660 c=3.222 alpha=90.00 beta=90.00 gamma=90.00
Atoms (fractional coordinates):
Li  0.000  0.000  0.000
Li  0.500  0.500  0.000
Pm  0.176  0.324  0.000
Pm  0.324  0.824  0.000
Pm  0.676  0.176  0.000
Pm  0.824  0.676  0.000
B  0.124  0.624  0.000
B  0.376  0.124  0.000
B  0.624  0.876  0.000
B  0.876  0.376  0.000
Rh  0.000  0.500  0.500
Rh  0.070  0.776  0.500
Rh  0.224  0.070  0.500
Rh  0.276  0.570  0.500
Rh  0.430  0.276  0.500
Rh  0.500  0.000  0.500
Rh  0.570  0.724  0.500
Rh  0.724  0.430  0.500
Rh  0.776  0.930  0.500
Rh  0.930  0.224  0.500

Top 12 peaks for 2θ from 10° to 80°, in order of rising 2θ:
12.96 deg, I 24
33.44 deg, I 31
34.73 deg, I 87
38.42 deg, I 100
39.58 deg, I 27
40.70 deg, I 56
41.82 deg, I 22
43.95 deg, I 28
47.03 deg, I 20
64.73 deg, I 18
68.70 deg, I 32
71.01 deg, I 30

(12)
Computed XRD peak list of Li2BPt4 for Cu Kα, 1.54184 Å, from a GGA-PBE-relaxed structure.

Structure:
Unit cell a=6.963 b=6.963 c=6.963 alpha=145.53 beta=145.53 gamma=49.54
Atoms (fractional coordinates):
Li  0.135  0.135  0.000
Li  0.865  0.865  0.000
B  0.500  0.500  0.000
Pt  0.000  0.500  0.500
Pt  0.334  0.334  0.000
Pt  0.500  0.000  0.500
Pt  0.666  0.666  0.000

Top 12 peaks for 2θ from 10° to 80°, in order of rising 2θ:
14.01 deg, I 27
22.67 deg, I 33
30.31 deg, I 56
33.84 deg, I 100
42.15 deg, I 59
42.91 deg, I 25
43.88 deg, I 47
54.27 deg, I 23
63.05 deg, I 32
74.21 deg, I 21
79.46 deg, I 19
79.99 deg, I 17